No. 1
Computed X-ray powder pattern of KMg4In for Cu Kα (λ = 1.5418 Å), from a DFT-relaxed cell (GGA-PBE, Alexandria).
Kinematic intensities with the Lorentz-polarization factor, no thermal factor.

Main lines, in order of rising 2θ (2θ = 5–70°):
two_theta	I/Imax
17.49	37
20.22	17
28.75	65
33.84	100
35.40	16
44.98	10
50.93	25
54.26	33
59.53	21
67.43	10

Structure:
a b c (Å): 6.211 6.211 6.211
angles (deg): 60.00 60.00 60.00
Fractional positions:
1 K 0.000 0.000 0.000
2 Mg 0.128 0.624 0.624
3 Mg 0.624 0.128 0.624
4 Mg 0.624 0.624 0.128
5 Mg 0.624 0.624 0.624
6 In 0.250 0.250 0.250



No. 2
Computed X-ray powder pattern of KMg2InPb4 for Cu Kα (λ = 1.5418 Å), from a DFT-relaxed cell (GGA-PBE, Alexandria).
Kinematic intensities with the Lorentz-polarization factor, no thermal factor.

Main lines, in order of rising 2θ (2θ = 5–70°):
two_theta	I/Imax
9.05	34
22.57	72
31.01	73
33.22	100
38.90	31
40.54	17
46.08	25
57.99	25
58.29	16
59.36	19

Structure:
a b c (Å): 10.260 10.260 10.260
angles (deg): 30.48 30.48 30.48
Fractional positions:
1 K 0.000 0.000 0.000
2 Mg 0.244 0.244 0.244
3 Mg 0.756 0.756 0.756
4 In 0.500 0.500 0.500
5 Pb 0.128 0.128 0.128
6 Pb 0.397 0.397 0.397
7 Pb 0.603 0.603 0.603
8 Pb 0.872 0.872 0.872



No. 3
Computed X-ray powder pattern of K2MgInPb2 for Cu Kα (λ = 1.5418 Å), from a DFT-relaxed cell (GGA-PBE, Alexandria).
Kinematic intensities with the Lorentz-polarization factor, no thermal factor.

Main lines, in order of rising 2θ (2θ = 5–70°):
two_theta	I/Imax
9.85	38
19.78	22
20.95	100
27.18	29
32.97	48
33.13	45
35.33	33
37.39	43
43.12	17
64.83	23

Structure:
a b c (Å): 10.184 10.184 10.184
angles (deg): 141.13 56.37 140.83
Fractional positions:
1 K 0.174 0.240 0.414
2 K 0.326 0.740 0.066
3 K 0.674 0.260 0.934
4 K 0.826 0.760 0.586
5 Mg 0.250 0.750 0.500
6 Mg 0.750 0.250 0.500
7 In 0.250 0.250 0.000
8 In 0.750 0.750 0.000
9 Pb 0.109 0.743 0.851
10 Pb 0.391 0.243 0.634
11 Pb 0.609 0.757 0.366
12 Pb 0.891 0.257 0.149



No. 4
Computed X-ray powder pattern of KMgIn2Pt for Cu Kα (λ = 1.5418 Å), from a DFT-relaxed cell (GGA-PBE, Alexandria).
Kinematic intensities with the Lorentz-polarization factor, no thermal factor.

Main lines, in order of rising 2θ (2θ = 5–70°):
two_theta	I/Imax
16.86	49
17.03	100
24.05	60
34.10	70
34.45	34
38.34	68
42.17	27
49.26	49
52.24	25
61.27	25

Structure:
a b c (Å): 5.258 5.258 5.207
angles (deg): 90.00 90.00 90.00
Fractional positions:
1 K 0.000 0.000 0.000
2 Mg 0.500 0.500 0.000
3 In 0.000 0.500 0.500
4 In 0.500 0.000 0.500
5 Pt 0.500 0.500 0.500



No. 5
Computed X-ray powder pattern of KMgInTe3 for Cu Kα (λ = 1.5418 Å), from a DFT-relaxed cell (GGA-PBE, Alexandria).
Kinematic intensities with the Lorentz-polarization factor, no thermal factor.

Main lines, in order of rising 2θ (2θ = 5–70°):
two_theta	I/Imax
10.67	100
21.89	54
23.91	53
24.11	32
25.99	57
28.09	55
28.76	38
38.51	65
41.37	34
42.54	30

Structure:
a b c (Å): 9.304 4.365 11.662
angles (deg): 90.00 108.28 90.00
Fractional positions:
1 K 0.221 0.250 0.212
2 K 0.779 0.750 0.788
3 Mg 0.357 0.750 0.912
4 Mg 0.643 0.250 0.088
5 In 0.112 0.250 0.637
6 In 0.888 0.750 0.363
7 Te 0.106 0.250 0.870
8 Te 0.212 0.750 0.521
9 Te 0.487 0.750 0.167
10 Te 0.513 0.250 0.833
11 Te 0.788 0.250 0.479
12 Te 0.894 0.750 0.130



No. 6
Computed X-ray powder pattern of KMn4In for Cu Kα (λ = 1.5418 Å), from a DFT-relaxed cell (GGA-PBE, Alexandria).
Kinematic intensities with the Lorentz-polarization factor, no thermal factor.

Main lines, in order of rising 2θ (2θ = 5–70°):
two_theta	I/Imax
19.81	11
22.91	9
32.62	37
38.46	100
40.24	31
51.30	2
52.73	5
58.22	13
62.13	29
68.35	22

Structure:
a b c (Å): 5.490 5.490 5.490
angles (deg): 60.00 60.00 60.00
Fractional positions:
1 K 0.000 0.000 0.000
2 Mn 0.131 0.623 0.623
3 Mn 0.623 0.131 0.623
4 Mn 0.623 0.623 0.131
5 Mn 0.623 0.623 0.623
6 In 0.250 0.250 0.250



No. 7
Computed X-ray powder pattern of KMnInTe3 for Cu Kα (λ = 1.5418 Å), from a DFT-relaxed cell (GGA-PBE, Alexandria).
Kinematic intensities with the Lorentz-polarization factor, no thermal factor.

Main lines, in order of rising 2θ (2θ = 5–70°):
two_theta	I/Imax
11.05	77
25.97	14
27.69	21
27.78	19
29.74	100
33.15	22
36.44	22
40.29	14
44.04	32
45.35	18

Structure:
a b c (Å): 9.247 4.110 10.809
angles (deg): 90.00 107.79 90.00
Fractional positions:
1 K 0.215 0.250 0.261
2 K 0.785 0.750 0.739
3 Mn 0.350 0.750 0.844
4 Mn 0.650 0.250 0.156
5 In 0.121 0.250 0.572
6 In 0.879 0.750 0.428
7 Te 0.138 0.250 0.843
8 Te 0.359 0.750 0.591
9 Te 0.434 0.750 0.109
10 Te 0.566 0.250 0.891
11 Te 0.641 0.250 0.409
12 Te 0.862 0.750 0.157